Starting from the GGA-PBE geometry in the Materials Project, the PXRD pattern of Ba4CaRh4O12 was simulated for Cu Kα X-rays.

Top 12 peaks for 2θ = 10–90°, sorted by position:
2θ 24.39, rel. 32, (0 1 -2)
2θ 24.49, rel. 13, (1 1 -2)
2θ 29.65, rel. 31, (1 2 0)
2θ 30.39, rel. 48, (1 0 -3)
2θ 30.53, rel. 100, (2 1 0)
2θ 31.10, rel. 27, (0 1 -3)
2θ 33.60, rel. 9, (1 2 2)
2θ 35.48, rel. 10, (0 2 -1)
2θ 39.40, rel. 9, (2 0 2)
2θ 39.54, rel. 9, (2 2 -2)
2θ 47.44, rel. 11, (0 2 4)
2θ 54.22, rel. 17, (3 0 -1)

Cell and atoms:
Lattice parameters (Å, degrees): 5.8503 6.0283 10.6217 87.53 89.88 61.12
Space group P1 (No. 1)
Asymmetric unit:
Ba: 0.0000 0.0000 0.0000 [1 per cell]
Ba: 0.0582 0.8840 0.4119 [1 per cell]
Ba: 0.3609 0.2772 0.1858 [1 per cell]
Ba: 0.7716 0.4578 0.6088 [1 per cell]
Ca: 0.5095 0.9789 0.7685 [1 per cell]
Rh: 0.2432 0.5151 0.8124 [1 per cell]
Rh: 0.3926 0.2159 0.5089 [1 per cell]
Rh: 0.6801 0.6412 0.0329 [1 per cell]
Rh: 0.7056 0.5878 0.2956 [1 per cell]
O: 0.0369 0.4320 0.4062 [1 per cell]
O: 0.2389 0.0398 0.6107 [1 per cell]
O: 0.2403 0.5203 0.6324 [1 per cell]
O: 0.4038 0.7370 0.1673 [1 per cell]
O: 0.5031 0.9993 0.9707 [1 per cell]
O: 0.5268 0.9384 0.3797 [1 per cell]
O: 0.5339 0.4280 0.4056 [1 per cell]
O: 0.5339 0.4811 0.9076 [1 per cell]
O: 0.7215 0.0380 0.6108 [1 per cell]
O: 0.8454 0.3086 0.1709 [1 per cell]
O: 0.8592 0.7365 0.1679 [1 per cell]
O: 0.9896 0.4789 0.9098 [1 per cell]